Diffraction record for YMg14Co. The X-ray diffraction stick pattern is theoretical, not measured: it uses the GGA-PBE geometry in the Materials Project and Cu Ka.
Kinematic intensities with the Lorentz-polarization factor, no thermal factor.

Cell and atoms:
```
YMg14Co
1.0
10.216 0.000 0.000
0.000 3.088 5.659
0.000 -3.088 5.659
Y Mg Co
1 14 1
Cartesian
0.000 0.000 0.000 Y
0.000 -1.472 2.856 Mg
0.000 1.472 2.856 Mg
2.250 0.000 7.189 Mg
2.526 -1.514 4.520 Mg
2.526 1.514 4.520 Mg
2.675 0.000 1.706 Mg
5.108 0.000 5.525 Mg
5.108 -1.517 8.343 Mg
5.108 1.517 8.343 Mg
5.108 0.000 11.141 Mg
7.541 0.000 1.706 Mg
7.690 -1.514 4.520 Mg
7.690 1.514 4.520 Mg
7.966 0.000 7.189 Mg
0.000 0.000 5.399 Co
```

Largest 12 diffraction maxima, low angle first, 10 to 90 degrees two-theta:
2θ = 15.7°, I 15
2θ = 17.9°, I 19
2θ = 33.0°, I 36
2θ = 35.1°, I 42
2θ = 36.3°, I 67
2θ = 37.6°, I 100
2θ = 49.0°, I 22
2θ = 57.2°, I 18
2θ = 63.8°, I 12
2θ = 64.6°, I 17
2θ = 69.0°, I 18
2θ = 72.1°, I 16